# 1
Theoretical PXRD pattern
Compound: NdNb3O9
Radiation: Cu Kα X-rays
Structure: DFT lattice parameters and positions (PBE)
Lines closer than 0.1° are merged.

Atomic structure:
```
NdNb3O9
1.0
5.665 0.000 0.000
2.591 8.443 0.000
2.750 2.780 8.001
Nd Nb O
2 6 18
Direct
0.198 0.155 0.498 Nd
0.802 0.845 0.502 Nd
0.115 0.575 0.252 Nb
0.223 0.746 0.767 Nb
0.449 0.903 0.240 Nb
0.551 0.097 0.760 Nb
0.777 0.254 0.233 Nb
0.885 0.425 0.748 Nb
0.000 0.500 0.500 O
0.057 0.071 0.289 O
0.090 0.592 0.729 O
0.158 0.670 0.005 O
0.210 0.759 0.278 O
0.254 0.253 0.730 O
0.362 0.859 0.501 O
0.403 0.401 0.267 O
0.442 0.912 0.742 O
0.500 0.000 0.000 O
0.558 0.088 0.258 O
0.597 0.599 0.733 O
0.638 0.141 0.499 O
0.746 0.747 0.270 O
0.790 0.241 0.722 O
0.842 0.330 0.995 O
0.910 0.408 0.271 O
0.943 0.929 0.711 O
```

Largest 8 diffraction maxima, most intense first, 2θ from 10° to 80°:
2θ/deg	I_rel
11.1	100
31.8	87
31.4	52
31.6	45
31.9	45
31.5	41
46.1	40
45.3	35

=====

# 2
Theoretical PXRD pattern
Compound: Nd2ScNbO7
Radiation: Cu Kα X-rays
Structure: DFT lattice parameters and positions (PBE)
Lines closer than 0.1° are merged.

Atomic structure:
```
Nd2ScNbO7
1.0
-3.736 3.790 5.327
3.736 -3.790 5.327
3.736 3.790 -5.327
Nd Sc Nb O
4 2 2 14
Direct
0.000 0.000 0.000 Nd
0.500 0.000 0.000 Nd
0.500 0.000 0.500 Nd
0.500 0.500 0.500 Nd
0.000 0.000 0.500 Sc
0.000 0.500 0.000 Sc
0.000 0.500 0.500 Nb
0.500 0.500 0.000 Nb
0.089 0.427 0.266 O
0.089 0.822 0.662 O
0.093 0.843 0.250 O
0.321 0.571 0.750 O
0.340 0.178 0.766 O
0.340 0.573 0.162 O
0.377 0.127 0.250 O
0.623 0.873 0.750 O
0.660 0.427 0.838 O
0.660 0.822 0.234 O
0.679 0.429 0.250 O
0.907 0.157 0.750 O
0.911 0.178 0.338 O
0.911 0.573 0.734 O
```

Largest 8 diffraction maxima, most intense first, 2θ from 10° to 80°:
2θ/deg	I_rel
29.2	100
28.9	100
48.4	65
33.7	60
57.2	29
57.7	28
14.3	24
48.0	17

=====

# 3
Theoretical PXRD pattern
Compound: Nd6Nb5S16
Radiation: Cu Kα X-rays
Structure: DFT lattice parameters and positions (PBE)
Lines closer than 0.1° are merged.

Atomic structure:
```
Nd6Nb5S16
1.0
22.948 0.000 0.000
0.000 8.421 2.885
0.000 -8.421 2.885
Nd Nb S
12 10 32
Direct
0.171 0.000 0.000 Nd
0.174 0.308 0.641 Nd
0.174 0.641 0.308 Nd
0.326 0.492 0.492 Nd
0.327 0.134 0.799 Nd
0.327 0.799 0.134 Nd
0.673 0.134 0.799 Nd
0.673 0.799 0.134 Nd
0.674 0.492 0.492 Nd
0.826 0.308 0.641 Nd
0.826 0.641 0.308 Nd
0.829 0.000 0.000 Nd
0.000 0.063 0.063 Nb
0.000 0.254 0.856 Nb
0.000 0.457 0.658 Nb
0.000 0.658 0.457 Nb
0.000 0.856 0.254 Nb
0.500 0.096 0.699 Nb
0.500 0.303 0.504 Nb
0.500 0.504 0.303 Nb
0.500 0.699 0.096 Nb
0.500 0.904 0.904 Nb
0.067 0.727 0.727 S
0.069 0.521 0.926 S
0.069 0.926 0.521 S
0.070 0.123 0.323 S
0.070 0.323 0.123 S
0.200 0.488 0.488 S
0.201 0.144 0.811 S
0.201 0.811 0.144 S
0.298 0.983 0.983 S
0.299 0.307 0.639 S
0.299 0.639 0.307 S
0.430 0.638 0.833 S
0.430 0.833 0.638 S
0.431 0.032 0.433 S
0.431 0.433 0.032 S
0.432 0.236 0.236 S
0.568 0.236 0.236 S
0.569 0.032 0.433 S
0.569 0.433 0.032 S
0.570 0.638 0.833 S
0.570 0.833 0.638 S
0.701 0.307 0.639 S
0.701 0.639 0.307 S
0.702 0.983 0.983 S
0.799 0.144 0.811 S
0.799 0.811 0.144 S
0.800 0.488 0.488 S
0.930 0.123 0.323 S
0.930 0.323 0.123 S
0.931 0.521 0.926 S
0.931 0.926 0.521 S
0.933 0.727 0.727 S
```

Largest 8 diffraction maxima, most intense first, 2θ from 10° to 80°:
2θ/deg	I_rel
25.0	100
23.3	73
39.1	65
41.9	41
31.9	32
22.4	31
31.0	30
39.8	26